# 1
Structure and calculated X-ray powder pattern of NdSm2Mg (a cell relaxed with PBE; Cu Kα (λ = 1.5418 Å)).
Intensities are scaled so that the largest is 100.

Top 10 peaks for 10° ≤ 2θ ≤ 90°, most intense first:
2θ 31.79, I 100; 2θ 56.64, I 39; 2θ 45.58, I 18; 2θ 75.53, I 16; 2θ 19.31, I 14; 2θ 66.43, I 12; 2θ 22.33, I 9; 2θ 37.46, I 8; 2θ 84.27, I 4; 2θ 51.32, I 4

Atomic structure:
```
NdSm2Mg
1.0
0.0000 3.9808 3.9808
3.9808 0.0000 3.9808
3.9808 3.9808 0.0000
Nd Sm Mg
1 2 1
Cartesian
0.0000 0.0000 0.0000
1.9904 1.9904 1.9904
5.9712 5.9712 5.9712
3.9808 3.9808 3.9808
```



# 2
Structure and calculated X-ray powder pattern of La3Sm6Y (a cell relaxed with PBE; Cu Kα (λ = 1.5418 Å)).
Intensities are scaled so that the largest is 100.

Top 10 peaks for 10° ≤ 2θ ≤ 90°, most intense first:
2θ 29.33, I 100; 2θ 31.38, I 77; 2θ 31.08, I 67; 2θ 29.10, I 66; 2θ 37.34, I 41; 2θ 57.83, I 31; 2θ 33.74, I 26; 2θ 26.49, I 24; 2θ 28.67, I 21; 2θ 48.28, I 20

Atomic structure:
```
La3Sm6Y
1.0
6.7297 -8.2037 0.0000
6.7297 8.2037 0.0000
0.0000 0.0000 6.3673
La Sm Y
6 12 2
Cartesian
6.7297 6.0150 3.1837
3.9386 1.1943 5.5438
3.9386 -1.1943 2.3601
9.5208 1.1943 5.5438
9.5208 -1.1943 2.3601
6.7297 -6.0150 0.0000
1.6129 0.9884 3.0861
3.7040 3.4646 2.0097
1.6129 -0.9884 6.2698
6.7297 4.2440 0.2240
6.7297 0.9938 0.9632
3.7040 -3.4646 5.1934
9.7554 3.4646 2.0097
6.7297 -0.9938 4.1469
6.7297 -4.2440 3.4077
11.8465 0.9884 3.0861
9.7554 -3.4646 5.1934
11.8465 -0.9884 6.2698
6.7297 2.5366 3.8047
6.7297 -2.5366 0.6210
```



# 3
Structure and calculated X-ray powder pattern of BaTh2MnN5 (a cell relaxed with PBE; Cu Kα (λ = 1.5418 Å)).
Intensities are scaled so that the largest is 100.

Top 10 peaks for 10° ≤ 2θ ≤ 90°, most intense first:
2θ 30.13, I 100; 2θ 29.73, I 70; 2θ 37.44, I 58; 2θ 31.66, I 35; 2θ 15.68, I 34; 2θ 54.92, I 28; 2θ 59.98, I 22; 2θ 49.82, I 22; 2θ 36.46, I 22; 2θ 55.43, I 19

Atomic structure:
```
BaTh2MnN5
1.0
-3.4847 3.4847 5.6530
3.4847 -3.4847 5.6530
3.4847 3.4847 -5.6530
Ba Th Mn N
2 4 2 10
Cartesian
0.0000 0.0000 2.8265
0.0000 0.0000 8.4795
4.7635 1.2788 0.0000
1.2788 2.2059 0.0000
2.2059 1.2788 5.6530
-1.2788 2.2059 5.6530
3.4847 0.0000 2.8265
0.0000 3.4847 2.8265
0.0000 0.0000 0.0000
4.4150 -0.9303 1.6077
2.5543 -0.9303 4.0453
2.5543 0.9303 1.6077
4.4150 0.9303 4.0453
0.0000 0.0000 5.6530
-0.9303 2.5543 1.6077
0.9303 2.5543 4.0453
0.9303 4.4150 1.6077
-0.9303 4.4150 4.0453
```